The following is a calculated powder X-ray diffraction pattern of RbSrW2O8. It was derived from a cell relaxed with GGA+U, using λ = 1.5418 Å (Cu Kα).
No peak broadening, texture or thermal motion is included.

Most intense lines, 2θ from 5° to 70°, sorted by position:
2θ (°)  I/Imax
16.45  27.2
21.99  100.0
27.59  20.2
29.23  83.1
31.30  26.3
43.35  63.9
50.49  19.8
64.14  17.9

Cell and atoms:
Cell: 6.764 6.764 6.764 Å, 106.60 106.60 115.37°
Fractional coordinates of all 12 atoms:
Rb 0.000 0.000 0.000
Sr 0.250 0.750 0.500
W 0.500 0.500 0.000
W 0.750 0.250 0.500
O 0.356 0.171 0.815
O 0.356 0.542 0.185
O 0.417 0.091 0.326
O 0.458 0.644 0.815
O 0.765 0.091 0.674
O 0.829 0.644 0.185
O 0.909 0.235 0.326
O 0.909 0.583 0.674